No. 1
Starting from a PBE-relaxed structure, the PXRD pattern of In2CuAg was calculated for Cu Kα.
Lines closer than 0.1° are merged.

Principal peaks in the range 10° ≤ 2θ ≤ 80°, sorted by position:
d (Å), intensity
2.675, 96
2.642, 37
2.623, 100
2.561, 35
2.429, 34
2.256, 83
2.205, 48
2.167, 61

Structural model:
a = 3.533 Å, b = 4.334 Å, c = 5.489 Å
α = 90.00°, β = 105.73°, γ = 90.00°
Sites, in units of the cell vectors:
In (0.000, 0.000, 0.000)
In (0.284, 0.500, 0.614)
Cu (0.736, 0.000, 0.476)
Ag (0.573, 0.500, 0.165)

***

No. 2
Starting from a PBE-relaxed structure, the PXRD pattern of Li3H9Rh4 was calculated for Cu Kα.
Lines closer than 0.1° are merged.

Principal peaks in the range 10° ≤ 2θ ≤ 80°, sorted by position:
d (Å), intensity
3.779, 100
2.916, 28
2.412, 88
2.338, 96
1.988, 15
1.679, 30
1.652, 28
1.364, 28

Structural model:
a = 7.507 Å, b = 7.507 Å, c = 7.507 Å
α = 36.30°, β = 36.30°, γ = 36.30°
Sites, in units of the cell vectors:
Li (0.000, 0.000, 0.000)
Li (0.150, 0.150, 0.150)
Li (0.575, 0.575, 0.575)
H (0.032, 0.117, 0.575)
H (0.117, 0.575, 0.032)
H (0.168, 0.646, 0.622)
H (0.509, 0.982, 0.523)
H (0.523, 0.509, 0.982)
H (0.575, 0.032, 0.117)
H (0.622, 0.168, 0.646)
H (0.646, 0.622, 0.168)
H (0.982, 0.523, 0.509)
Rh (0.290, 0.290, 0.290)
Rh (0.426, 0.426, 0.426)
Rh (0.724, 0.724, 0.724)
Rh (0.859, 0.859, 0.859)

***

No. 3
Starting from a PBE-relaxed structure, the PXRD pattern of Ti3V3Ge5 was calculated for Cu Kα.
Lines closer than 0.1° are merged.

Principal peaks in the range 10° ≤ 2θ ≤ 80°, sorted by position:
d (Å), intensity
2.757, 24
2.683, 17
2.445, 26
2.207, 100
2.170, 67
2.126, 100
2.075, 66
1.500, 19

Structural model:
a = 9.230 Å, b = 9.230 Å, c = 9.230 Å
α = 147.16°, β = 126.53°, γ = 64.19°
Sites, in units of the cell vectors:
Ti (0.000, 0.000, 0.500)
Ti (0.000, 0.500, 0.000)
Ti (0.152, 0.152, 0.000)
Ti (0.500, 0.000, 0.000)
Ti (0.500, 0.500, 0.500)
Ti (0.848, 0.848, 0.000)
V (0.149, 0.419, 0.729)
V (0.310, 0.581, 0.729)
V (0.500, 0.260, 0.760)
V (0.500, 0.740, 0.240)
V (0.690, 0.419, 0.271)
V (0.851, 0.581, 0.271)
Ge (0.000, 0.244, 0.244)
Ge (0.000, 0.756, 0.756)
Ge (0.197, 0.697, 0.500)
Ge (0.208, 0.897, 0.311)
Ge (0.339, 0.339, 0.000)
Ge (0.414, 0.103, 0.311)
Ge (0.586, 0.897, 0.689)
Ge (0.661, 0.661, 0.000)
Ge (0.792, 0.103, 0.689)
Ge (0.803, 0.303, 0.500)

***

No. 4
Starting from a PBE-relaxed structure, the PXRD pattern of ZnHg2BBr was calculated for Cu Kα.
Lines closer than 0.1° are merged.

Principal peaks in the range 10° ≤ 2θ ≤ 80°, sorted by position:
d (Å), intensity
4.360, 18
3.423, 17
2.693, 100
2.421, 39
2.180, 15
1.712, 14
1.620, 23
1.445, 30

Structural model:
a = 4.841 Å, b = 4.841 Å, c = 4.360 Å
α = 90.00°, β = 90.00°, γ = 90.00°
Sites, in units of the cell vectors:
Zn (0.000, 0.000, 0.000)
Hg (0.000, 0.500, 0.500)
Hg (0.500, 0.000, 0.500)
B (0.000, 0.000, 0.500)
Br (0.500, 0.500, 0.000)

***

No. 5
Starting from a PBE-relaxed structure, the PXRD pattern of CaDy4PuSe8 was calculated for Cu Kα.
Lines closer than 0.1° are merged.

Principal peaks in the range 10° ≤ 2θ ≤ 80°, sorted by position:
d (Å), intensity
6.935, 56
3.638, 34
3.621, 88
3.005, 100
2.311, 53
2.131, 67
2.119, 68
1.503, 21

Structural model:
a = 8.525 Å, b = 8.525 Å, c = 8.525 Å
α = 59.62°, β = 59.62°, γ = 59.62°
Sites, in units of the cell vectors:
Ca (0.000, 0.000, 0.000)
Dy (0.118, 0.626, 0.626)
Dy (0.249, 0.249, 0.249)
Dy (0.626, 0.118, 0.626)
Dy (0.626, 0.626, 0.118)
Pu (0.625, 0.625, 0.625)
Se (0.377, 0.377, 0.853)
Se (0.377, 0.853, 0.377)
Se (0.382, 0.382, 0.382)
Se (0.404, 0.869, 0.869)
Se (0.853, 0.377, 0.377)
Se (0.865, 0.865, 0.865)
Se (0.869, 0.404, 0.869)
Se (0.869, 0.869, 0.404)

***

No. 6
Starting from a PBE-relaxed structure, the PXRD pattern of Er3Ga7Pt4 was calculated for Cu Kα.
Lines closer than 0.1° are merged.

Principal peaks in the range 10° ≤ 2θ ≤ 80°, sorted by position:
d (Å), intensity
3.337, 37
3.028, 37
2.556, 100
2.526, 90
2.516, 82
2.500, 45
2.147, 37
2.135, 90

Structural model:
a = 8.173 Å, b = 8.173 Å, c = 9.344 Å
α = 123.88°, β = 123.88°, γ = 30.29°
Sites, in units of the cell vectors:
Er (0.000, 0.000, 0.000)
Er (0.306, 0.306, 0.301)
Er (0.694, 0.694, 0.699)
Ga (0.000, 0.000, 0.500)
Ga (0.154, 0.154, 0.428)
Ga (0.320, 0.320, 0.967)
Ga (0.499, 0.499, 0.707)
Ga (0.501, 0.501, 0.293)
Ga (0.680, 0.680, 0.033)
Ga (0.846, 0.846, 0.572)
Pt (0.122, 0.122, 0.848)
Pt (0.343, 0.343, 0.720)
Pt (0.657, 0.657, 0.280)
Pt (0.878, 0.878, 0.152)

***

No. 7
Starting from a PBE-relaxed structure, the PXRD pattern of Ca2Pr2NdY6 was calculated for Cu Kα.
Lines closer than 0.1° are merged.

Principal peaks in the range 10° ≤ 2θ ≤ 80°, sorted by position:
d (Å), intensity
3.119, 11
3.006, 34
2.957, 100
2.582, 45
2.550, 22
1.824, 16
1.804, 15
1.552, 14

Structural model:
a = 6.268 Å, b = 6.268 Å, c = 12.232 Å
α = 95.24°, β = 95.24°, γ = 120.27°
Sites, in units of the cell vectors:
Ca (0.165, 0.835, 0.000)
Ca (0.835, 0.165, 0.000)
Pr (0.333, 0.667, 0.500)
Pr (0.667, 0.333, 0.500)
Nd (0.000, 0.000, 0.500)
Y (0.086, 0.419, 0.743)
Y (0.247, 0.247, 0.260)
Y (0.419, 0.086, 0.743)
Y (0.581, 0.914, 0.257)
Y (0.753, 0.753, 0.740)
Y (0.914, 0.581, 0.257)